Computed powder diffraction line list of ScAlAu for Cu Kα X-rays, from a crystal structure in OQMD, relaxed with GGA-PBE.
Neutral-atom scattering factors, no anomalous dispersion.

Top 8 peaks for 2θ from 15° to 90°, by intensity:
2θ = 24.44°, rel. 100; 2θ = 37.72°, rel. 65; 2θ = 28.28°, rel. 62; 2θ = 45.46°, rel. 50; 2θ = 43.02°, rel. 44; 2θ = 68.10°, rel. 35; 2θ = 50.08°, rel. 32; 2θ = 34.82°, rel. 22

Structure:
```
data_ScAlAu
_chemical_formula_sum 'Sc6 Al6 Au6'
_space_group_name_H-M_alt 'P 1'
_space_group_IT_number 1
_space_group_name_Hall 'P 1'
_cell_length_a 7.283
_cell_length_b 7.283
_cell_length_c 7.291
_cell_angle_alpha 90.00
_cell_angle_beta 90.00
_cell_angle_gamma 120.00
loop_
_atom_site_label
_atom_site_fract_x
_atom_site_fract_y
_atom_site_fract_z
Sc1 0.014 0.605 0.250
Sc2 0.395 0.409 0.250
Sc3 0.409 0.395 0.750
Sc4 0.591 0.986 0.250
Sc5 0.605 0.014 0.750
Sc6 0.986 0.591 0.750
Al1 0.000 0.263 0.000
Al2 0.000 0.263 0.500
Al3 0.263 0.000 0.000
Al4 0.263 0.000 0.500
Al5 0.737 0.737 0.000
Al6 0.737 0.737 0.500
Au1 0.000 0.000 0.250
Au2 0.000 0.000 0.750
Au3 0.333 0.667 0.520
Au4 0.333 0.667 0.980
Au5 0.667 0.333 0.020
Au6 0.667 0.333 0.480
```

Computed powder diffraction line list of Tm2Al6Si4Au for Cu Kα X-rays, from a crystal structure in OQMD, relaxed with GGA-PBE.
Neutral-atom scattering factors, no anomalous dispersion.

Top 8 peaks for 2θ from 15° to 90°, by intensity:
2θ = 27.57°, rel. 100; 2θ = 38.09°, rel. 72; 2θ = 43.11°, rel. 61; 2θ = 16.04°, rel. 58; 2θ = 24.76°, rel. 43; 2θ = 58.83°, rel. 34; 2θ = 26.10°, rel. 31; 2θ = 35.33°, rel. 29

Structure:
```
data_Tm2Al6Si4Au
_chemical_formula_sum 'Tm2 Al6 Si4 Au1'
_space_group_name_H-M_alt 'P 1'
_space_group_IT_number 1
_space_group_name_Hall 'P 1'
_cell_length_a 16.751
_cell_length_b 16.751
_cell_length_c 16.751
_cell_angle_alpha 14.39
_cell_angle_beta 14.39
_cell_angle_gamma 14.39
loop_
_atom_site_label
_atom_site_fract_x
_atom_site_fract_y
_atom_site_fract_z
Tm1 0.065 0.065 0.065
Tm2 0.935 0.935 0.935
Al1 0.183 0.183 0.183
Al2 0.314 0.314 0.314
Al3 0.447 0.447 0.447
Al4 0.553 0.553 0.553
Al5 0.686 0.686 0.686
Al6 0.817 0.817 0.817
Si1 0.235 0.235 0.235
Si2 0.365 0.365 0.365
Si3 0.635 0.635 0.635
Si4 0.765 0.765 0.765
Au1 0.500 0.500 0.500
```

Computed powder diffraction line list of SmAl4Au8 for Cu Kα X-rays, from a crystal structure in OQMD, relaxed with GGA-PBE.
Neutral-atom scattering factors, no anomalous dispersion.

Top 8 peaks for 2θ from 15° to 90°, by intensity:
2θ = 38.73°, rel. 100; 2θ = 32.36°, rel. 64; 2θ = 27.31°, rel. 62; 2θ = 42.84°, rel. 59; 2θ = 33.30°, rel. 53; 2θ = 39.00°, rel. 41; 2θ = 70.47°, rel. 36; 2θ = 43.58°, rel. 26

Structure:
```
data_SmAl4Au8
_chemical_formula_sum 'Sm1 Al4 Au8'
_space_group_name_H-M_alt 'P 1'
_space_group_IT_number 1
_space_group_name_Hall 'P 1'
_cell_length_a 7.093
_cell_length_b 7.093
_cell_length_c 7.093
_cell_angle_alpha 98.75
_cell_angle_beta 98.75
_cell_angle_gamma 134.09
loop_
_atom_site_label
_atom_site_fract_x
_atom_site_fract_y
_atom_site_fract_z
Sm1 0.000 0.000 0.000
Al1 0.000 0.000 0.500
Al2 0.000 0.500 0.000
Al3 0.500 0.000 0.000
Al4 0.500 0.500 0.500
Au1 0.000 0.328 0.328
Au2 0.000 0.672 0.672
Au3 0.281 0.500 0.781
Au4 0.328 0.000 0.328
Au5 0.500 0.281 0.781
Au6 0.500 0.719 0.219
Au7 0.672 0.000 0.672
Au8 0.719 0.500 0.219
```

Computed powder diffraction line list of SmAl7Au3 for Cu Kα X-rays, from a crystal structure in OQMD, relaxed with GGA-PBE.
Neutral-atom scattering factors, no anomalous dispersion.

Top 8 peaks for 2θ from 15° to 90°, by intensity:
2θ = 25.27°, rel. 100; 2θ = 46.48°, rel. 44; 2θ = 38.35°, rel. 37; 2θ = 33.63°, rel. 33; 2θ = 44.49°, rel. 32; 2θ = 66.29°, rel. 28; 2θ = 61.78°, rel. 17; 2θ = 51.87°, rel. 13

Structure:
```
data_SmAl7Au3
_chemical_formula_sum 'Sm2 Al14 Au6'
_space_group_name_H-M_alt 'P 1'
_space_group_IT_number 1
_space_group_name_Hall 'P 1'
_cell_length_a 8.477
_cell_length_b 8.477
_cell_length_c 8.477
_cell_angle_alpha 57.32
_cell_angle_beta 57.32
_cell_angle_gamma 57.32
loop_
_atom_site_label
_atom_site_fract_x
_atom_site_fract_y
_atom_site_fract_z
Sm1 0.000 0.000 0.000
Sm2 0.500 0.500 0.500
Al1 0.069 0.853 0.668
Al2 0.147 0.332 0.931
Al3 0.168 0.353 0.569
Al4 0.250 0.250 0.250
Al5 0.332 0.931 0.147
Al6 0.353 0.569 0.168
Al7 0.431 0.832 0.647
Al8 0.569 0.168 0.353
Al9 0.647 0.431 0.832
Al10 0.668 0.069 0.853
Al11 0.750 0.750 0.750
Al12 0.832 0.647 0.431
Al13 0.853 0.668 0.069
Al14 0.931 0.147 0.332
Au1 0.072 0.750 0.428
Au2 0.250 0.572 0.928
Au3 0.428 0.072 0.750
Au4 0.572 0.928 0.250
Au5 0.750 0.428 0.072
Au6 0.928 0.250 0.572
```